# 1
This entry pairs a crystal structure of BaTe with its computed X-ray powder pattern. Radiation: Cu Kα X-rays. Structure: DFT lattice parameters and positions (PBE).
Peak positions follow from Bragg's law for the DFT cell and can differ from measured ones.

Structure:
abc: 4.2625 4.2625 4.2625
angles: 90.00 90.00 90.00
Sites, in units of the cell vectors:
Ba (0.0000, 0.0000, 0.0000)
Te (0.5000, 0.5000, 0.5000)

Top 6 peaks for 2θ from 10° to 80°, most intense first:
- 29.64 deg, rel. 100
- 52.59 deg, rel. 40
- 42.41 deg, rel. 19
- 69.77 deg, rel. 17
- 61.54 deg, rel. 12
- 77.59 deg, rel. 4

---

# 2
This entry pairs a crystal structure of BaThTe4 with its computed X-ray powder pattern. Radiation: Cu Kα X-rays. Structure: DFT lattice parameters and positions (PBE).
Peak positions follow from Bragg's law for the DFT cell and can differ from measured ones.

Structure:
abc: 8.7917 8.7917 10.5088
angles: 125.90 125.90 44.15
Sites, in units of the cell vectors:
Ba (0.0974, 0.0974, 0.3031)
Ba (0.9026, 0.9026, 0.6969)
Th (0.3578, 0.3578, 0.2178)
Th (0.6422, 0.6422, 0.7822)
Te (0.1022, 0.1022, 0.6532)
Te (0.1066, 0.6065, 0.9546)
Te (0.3889, 0.3889, 0.5533)
Te (0.3935, 0.8934, 0.0454)
Te (0.6065, 0.1066, 0.9546)
Te (0.6111, 0.6111, 0.4467)
Te (0.8934, 0.3935, 0.0454)
Te (0.8978, 0.8978, 0.3468)

Top 10 peaks for 2θ from 10° to 80°, most intense first:
- 28.29 deg, rel. 100
- 28.85 deg, rel. 81
- 29.19 deg, rel. 78
- 11.04 deg, rel. 63
- 35.68 deg, rel. 56
- 40.55 deg, rel. 47
- 35.21 deg, rel. 46
- 34.99 deg, rel. 44
- 26.30 deg, rel. 37
- 59.16 deg, rel. 27

---

# 3
This entry pairs a crystal structure of Ba2UTiTe7 with its computed X-ray powder pattern. Radiation: Cu Kα X-rays. Structure: DFT lattice parameters and positions (PBE).
Peak positions follow from Bragg's law for the DFT cell and can differ from measured ones.

Structure:
abc: 12.7097 6.1822 18.9934
angles: 90.00 90.00 90.00
Sites, in units of the cell vectors:
Ba (0.0548, 0.2500, 0.2232)
Ba (0.1764, 0.2500, 0.5581)
Ba (0.3236, 0.7500, 0.0581)
Ba (0.4452, 0.7500, 0.7232)
Ba (0.5548, 0.2500, 0.2768)
Ba (0.6764, 0.2500, 0.9419)
Ba (0.8236, 0.7500, 0.4419)
Ba (0.9452, 0.7500, 0.7768)
U (0.2072, 0.2500, 0.8767)
U (0.2928, 0.7500, 0.3767)
U (0.7072, 0.2500, 0.6233)
U (0.7928, 0.7500, 0.1233)
Ti (0.0000, 0.0000, 0.0000)
Ti (0.0000, 0.5000, 0.0000)
Ti (0.5000, 0.0000, 0.5000)
Ti (0.5000, 0.5000, 0.5000)
Te (0.0391, 0.7500, 0.1229)
Te (0.0806, 0.5017, 0.3982)
Te (0.0806, 0.9983, 0.3982)
Te (0.1399, 0.7500, 0.9156)
Te (0.1783, 0.2500, 0.0402)
Te (0.1921, 0.0022, 0.7330)
Te (0.1921, 0.4978, 0.7330)
Te (0.3079, 0.5022, 0.2330)
Te (0.3079, 0.9978, 0.2330)
Te (0.3217, 0.7500, 0.5402)
Te (0.3601, 0.2500, 0.4156)
Te (0.4194, 0.0017, 0.8982)
Te (0.4194, 0.4983, 0.8982)
Te (0.4609, 0.2500, 0.6229)
Te (0.5391, 0.7500, 0.3771)
Te (0.5806, 0.5017, 0.1018)
Te (0.5806, 0.9983, 0.1018)
Te (0.6399, 0.7500, 0.5844)
Te (0.6783, 0.2500, 0.4598)
Te (0.6921, 0.0022, 0.7670)
Te (0.6921, 0.4978, 0.7670)
Te (0.8079, 0.5022, 0.2670)
Te (0.8079, 0.9978, 0.2670)
Te (0.8217, 0.7500, 0.9598)
Te (0.8601, 0.2500, 0.0844)
Te (0.9194, 0.0017, 0.6018)
Te (0.9194, 0.4983, 0.6018)
Te (0.9609, 0.2500, 0.8771)

Top 10 peaks for 2θ from 10° to 80°, most intense first:
- 28.48 deg, rel. 100
- 35.28 deg, rel. 89
- 29.07 deg, rel. 70
- 33.59 deg, rel. 57
- 11.63 deg, rel. 48
- 33.04 deg, rel. 46
- 28.20 deg, rel. 46
- 30.12 deg, rel. 37
- 32.55 deg, rel. 36
- 37.23 deg, rel. 36